1.
Diffraction record for BaTl2P2Se6. The powder XRD pattern is computed, not measured: it uses DFT lattice parameters and positions (PBE) and Cu Kα (λ = 1.5418 Å).
Peak positions follow from Bragg's law for the DFT cell and can differ from measured ones.

The 10 most intense peaks (2θ = 15–90°), most intense first:
d/Å  I (rel.)  h k l
2.815  100  0 0 9
3.047  67  2 0 2
2.670  66  2 0 5
3.947  64  0 1 5
3.624  43  1 1 0
1.812  38  2 2 0
1.525  27  2 2 9
2.149  25  1 2 5
2.373  23  0 2 7
2.353  20  1 0 10

Structure:
Lattice parameters (Å, degrees): 7.2488 7.2488 25.3810 90.00 90.00 120.00
Space group R-3m (No. 166, hexagonal axes)
Symmetry-distinct sites (fractional):
Ba (0.0000, 0.0000, 0.0000) (multiplicity 3)
Tl (0.0000, 0.0000, 0.2138) (multiplicity 6)
P (0.0000, 0.0000, 0.4071) (multiplicity 6)
Se (0.0008, 0.5004, 0.7671) (multiplicity 18)

2.
Diffraction record for BaTmP2Se8. The powder XRD pattern is computed, not measured: it uses DFT lattice parameters and positions (PBE) and Cu Kα (λ = 1.5418 Å).
Peak positions follow from Bragg's law for the DFT cell and can differ from measured ones.

The 10 most intense peaks (2θ = 15–90°), most intense first:
d/Å  I (rel.)  h k l
2.637  100  2 -1 2
3.001  62  1 1 1
3.604  41  1 0 2
1.909  37  1 1 4
1.824  36  3 0 0
3.193  20  0 0 3
5.472  18  1 0 0
1.500  16  2 2 2
3.160  16  1 1 0
4.752  13  0 1 1

Structure:
Lattice parameters (Å, degrees): 6.3191 6.3191 9.5798 90.00 90.00 120.00
Space group P-3 (No. 147)
Symmetry-distinct sites (fractional):
Ba (0.0000, 0.0000, 0.0000) (multiplicity 1)
Tm (0.0000, 0.0000, 0.5000) (multiplicity 1)
P (0.3333, 0.6667, 0.7509) (multiplicity 2)
Se (0.0229, 0.6627, 0.3118) (multiplicity 6)
Se (0.3333, 0.6667, 0.9816) (multiplicity 2)

3.
Diffraction record for BaZnP2Se8. The powder XRD pattern is computed, not measured: it uses DFT lattice parameters and positions (PBE) and Cu Kα (λ = 1.5418 Å).
Peak positions follow from Bragg's law for the DFT cell and can differ from measured ones.

The 10 most intense peaks (2θ = 15–90°), most intense first:
d/Å  I (rel.)  h k l
2.891  100  1 1 1
2.567  90  2 -1 2
3.226  43  0 0 3
1.890  42  1 1 4
1.749  35  3 0 0
1.537  24  0 3 3
3.557  22  1 0 2
1.631  15  2 -1 5
1.445  13  2 2 2
1.496  12  4 -2 1

Structure:
Lattice parameters (Å, degrees): 6.0581 6.0581 9.6773 90.00 90.00 120.00
Space group P-3 (No. 147)
Symmetry-distinct sites (fractional):
Ba (0.0000, 0.0000, 0.0000) (multiplicity 1)
Zn (0.0000, 0.0000, 0.5000) (multiplicity 1)
P (0.3333, 0.6667, 0.7508) (multiplicity 2)
Se (0.0330, 0.6865, 0.3189) (multiplicity 6)
Se (0.3333, 0.6667, 0.9774) (multiplicity 2)

4.
Diffraction record for Ba3Si4P6. The powder XRD pattern is computed, not measured: it uses DFT lattice parameters and positions (PBE) and Cu Kα (λ = 1.5418 Å).
Peak positions follow from Bragg's law for the DFT cell and can differ from measured ones.

The 10 most intense peaks (2θ = 15–90°), most intense first:
d/Å  I (rel.)  h k l
2.927  100  2 0 2
2.654  78  0 2 3
2.628  48  2 2 -1
3.340  45  2 1 0
4.528  44  0 1 2
2.720  43  2 1 -3
3.685  41  0 2 0
1.638  39  2 2 5
2.292  33  2 2 2
1.545  29  4 2 -4

Structure:
Lattice parameters (Å, degrees): 7.597 7.370 11.634 90.00 99.39 90.00
Space group P2_1/m (No. 11)
Symmetry-distinct sites (fractional):
Ba (0.002, 0.250, 0.008) (multiplicity 2)
Ba (0.092, 0.750, 0.364) (multiplicity 2)
Ba (0.412, 0.250, 0.648) (multiplicity 2)
Si (0.174, 0.750, 0.703) (multiplicity 2)
Si (0.323, 0.250, 0.296) (multiplicity 2)
Si (0.477, 0.579, 0.909) (multiplicity 4)
P (0.104, 0.250, 0.412) (multiplicity 2)
P (0.202, 0.501, 0.818) (multiplicity 4)
P (0.293, 0.001, 0.182) (multiplicity 4)
P (0.397, 0.750, 0.587) (multiplicity 2)

5.
Diffraction record for BaSi2P. The powder XRD pattern is computed, not measured: it uses DFT lattice parameters and positions (PBE) and Cu Kα (λ = 1.5418 Å).
Peak positions follow from Bragg's law for the DFT cell and can differ from measured ones.

The 10 most intense peaks (2θ = 15–90°), most intense first:
d/Å  I (rel.)  h k l
2.275  100  3 1 -1
2.745  89  1 1 1
3.339  50  1 1 0
4.023  48  2 0 -1
4.353  45  2 0 0
3.015  41  1 1 -1
2.731  39  2 0 -2
3.056  38  2 0 1
2.810  35  0 0 2
2.176  24  4 0 0

Structure:
Lattice parameters (Å, degrees): 9.061 3.615 5.850 90.00 106.09 90.00
Space group C2/m (No. 12)
Symmetry-distinct sites (fractional):
Ba (0.000, 0.000, 0.000) (multiplicity 2)
Si (0.218, 0.000, 0.622) (multiplicity 4)
P (0.000, 0.500, 0.500) (multiplicity 2)